Structure and calculated powder X-ray diffraction pattern of SrPrFeRuO6 (a structure optimized by DFT (GGA+U); Cu Ka).
Peak positions follow from Bragg's law for the DFT cell and can differ from measured ones.

Structural model:
```
data_SrPrFeRuO6
_chemical_formula_sum 'Sr2 Pr2 Fe2 Ru2 O12'
_cell_length_a 5.5862
_cell_length_b 5.6531
_cell_length_c 9.6825
_cell_angle_alpha 90.00
_cell_angle_beta 125.19
_cell_angle_gamma 90.00
_space_group_name_H-M_alt 'P 1 c 1'
_space_group_IT_number 7
_space_group_name_Hall 'P -2yc'
loop_
_atom_site_label
_atom_site_fract_x
_atom_site_fract_y
_atom_site_fract_z
_atom_site_occupancy
Sr1 0.0000 0.2170 0.0000 1
Pr1 0.4835 0.2962 0.5005 1
Fe1 0.7443 0.2459 0.2502 1
Ru1 0.2443 0.2483 0.7497 1
O1 0.0032 0.4712 0.7865 1
O2 0.0803 0.0403 0.2920 1
O3 0.4277 0.4724 0.2130 1
O4 0.4943 0.0423 0.7087 1
O5 0.5569 0.2698 0.9994 1
O6 0.9119 0.2389 0.5005 1
```

Principal peaks in the range 10° ≤ 2θ ≤ 90°, low angle first:
- d = 2.827 Å, 2θ 31.7, I 23, hkl 0 2 0
- d = 2.804 Å, 2θ 31.9, I 100, hkl 1 1 1
- d = 2.793 Å, 2θ 32.0, I 25, hkl 2 0 -2
- d = 1.987 Å, 2θ 45.7, I 27, hkl 2 2 -2
- d = 1.978 Å, 2θ 45.9, I 15, hkl 0 0 4
- d = 1.615 Å, 2θ 57.0, I 33, hkl 3 1 -1